Diffraction record for CrSb2H12C8O4. The XRD peak list is calculated, not measured: it uses a PBE+U-relaxed structure and a wavelength of 1.5418 Å.
Peak positions follow from Bragg's law for the DFT cell and can differ from measured ones.

Most intense lines, 2θ = 15–90°, in order of rising 2θ:
two_theta, d (Å), I/Imax
20.6, 4.307, 100
23.6, 3.776, 69
24.2, 3.684, 62
26.7, 3.343, 67
28.7, 3.113, 63
39.3, 2.290, 76

Structure:
```
data_CrSb2H12C8O4
_chemical_formula_sum 'Cr2 Sb4 H24 C16 O8'
_space_group_name_H-M_alt 'P 1'
_space_group_IT_number 1
_space_group_name_Hall 'P 1'
_cell_length_a 9.217
_cell_length_b 9.217
_cell_length_c 10.526
_cell_angle_alpha 110.65
_cell_angle_beta 110.65
_cell_angle_gamma 80.29
loop_
_atom_site_label
_atom_site_fract_x
_atom_site_fract_y
_atom_site_fract_z
Cr1 0.202 0.202 0.293
Cr2 0.798 0.798 0.707
Sb1 0.101 0.778 0.847
Sb2 0.222 0.899 0.153
Sb3 0.778 0.101 0.847
Sb4 0.899 0.222 0.153
H1 0.005 0.233 0.819
H2 0.145 0.621 0.143
H3 0.170 0.480 0.705
H4 0.174 0.757 0.320
H5 0.178 0.489 0.880
H6 0.233 0.005 0.819
H7 0.243 0.826 0.680
H8 0.337 0.554 0.856
H9 0.379 0.855 0.857
H10 0.446 0.663 0.144
H11 0.480 0.170 0.705
H12 0.489 0.178 0.880
H13 0.511 0.822 0.120
H14 0.520 0.830 0.295
H15 0.554 0.337 0.856
H16 0.621 0.145 0.143
H17 0.663 0.446 0.144
H18 0.757 0.174 0.320
H19 0.767 0.995 0.181
H20 0.822 0.511 0.120
H21 0.826 0.243 0.680
H22 0.830 0.520 0.295
H23 0.855 0.379 0.857
H24 0.995 0.767 0.181
C1 0.121 0.740 0.205
C2 0.149 0.149 0.430
C3 0.190 0.411 0.398
C4 0.211 0.546 0.819
C5 0.252 0.252 0.154
C6 0.260 0.879 0.795
C7 0.411 0.190 0.398
C8 0.454 0.789 0.181
C9 0.546 0.211 0.819
C10 0.589 0.810 0.602
C11 0.740 0.121 0.205
C12 0.748 0.748 0.846
C13 0.789 0.454 0.181
C14 0.810 0.589 0.602
C15 0.851 0.851 0.570
C16 0.879 0.260 0.795
O1 0.122 0.122 0.519
O2 0.185 0.542 0.467
O3 0.288 0.288 0.073
O4 0.458 0.815 0.533
O5 0.542 0.185 0.467
O6 0.712 0.712 0.927
O7 0.815 0.458 0.533
O8 0.878 0.878 0.481
```